# 1
Structure and theoretical XRD peak list of Ga5Pt (a DFT-relaxed cell (GGA-PBE, OQMD); CuKα).
Peak positions follow from Bragg's law for the DFT cell and can differ from measured ones.

Structural model:
```
Ga5Pt
1.0
6.4492 0.0000 0.0000
0.0000 15.9919 0.0000
-3.0897 0.0000 8.3726
Ga Pt
40 8
Cartesian
-1.0982 0.0104 2.9879 Ga
-1.0982 7.9855 2.9879 Ga
-1.9187 10.6871 6.4799 Ga
-1.9187 13.3007 6.4799 Ga
-0.3257 10.6806 2.2117 Ga
-0.3257 13.3072 2.2117 Ga
0.5506 1.1094 0.2112 Ga
0.5506 6.8865 0.2112 Ga
-0.3041 2.7291 4.6395 Ga
-0.3041 5.2668 4.6395 Ga
0.1497 10.6309 4.8007 Ga
0.1497 13.3569 4.8007 Ga
1.7536 10.6465 0.6633 Ga
1.7536 13.3413 0.6633 Ga
-0.8513 3.9980 7.8505 Ga
1.3887 3.9980 1.8618 Ga
0.1862 8.9606 7.2213 Ga
0.1862 15.0272 7.2213 Ga
1.7742 8.9071 3.0153 Ga
1.7742 15.0807 3.0153 Ga
1.5852 0.9111 5.3573 Ga
1.5852 7.0848 5.3573 Ga
3.1733 0.9647 1.1513 Ga
3.1733 7.0312 1.1513 Ga
1.9708 11.9939 6.5108 Ga
4.2107 11.9939 0.5221 Ga
1.6058 2.6506 7.7093 Ga
1.6058 5.3453 7.7093 Ga
3.2098 2.6349 3.5719 Ga
3.2098 5.3610 3.5719 Ga
3.6636 10.7251 3.7331 Ga
3.6636 13.2627 3.7331 Ga
2.8088 9.1053 8.1615 Ga
2.8088 14.8825 8.1615 Ga
3.6851 2.6847 6.1609 Ga
3.6851 5.3113 6.1609 Ga
5.2782 2.6912 1.8928 Ga
5.2782 5.3048 1.8928 Ga
4.4577 8.0064 5.3847 Ga
4.4577 15.9814 5.3847 Ga
-0.5688 1.5152 6.9395 Pt
-0.5688 6.4808 6.9395 Pt
1.0219 1.5286 2.7400 Pt
1.0219 6.4674 2.7400 Pt
2.3375 9.5245 5.6326 Pt
2.3375 14.4633 5.6326 Pt
3.9282 9.5111 1.4331 Pt
3.9282 14.4767 1.4331 Pt
```

Peak list (6 most intense, 10 to 90 degrees two-theta, by angle)
2θ (°)	d [Å]	Rel. int.
22.2	3.999	71
31.9	2.802	54
42.9	2.109	58
45.6	1.990	100
45.9	1.976	47
46.6	1.948	56

# 2
Structure and theoretical XRD peak list of Ga3Pt (a DFT-relaxed cell (GGA-PBE, OQMD); CuKα).
Peak positions follow from Bragg's law for the DFT cell and can differ from measured ones.

Structural model:
```
Ga3Pt
1.0
1.8337 -4.4959 0.0000
1.8337 4.4959 0.0000
0.0000 0.0000 8.2976
Ga Pt
6 2
Cartesian
1.8337 3.8839 6.2232 Ga
1.8337 1.2193 4.4745 Ga
1.8337 1.2193 7.9720 Ga
1.8337 -1.2193 0.3257 Ga
1.8337 -1.2193 3.8231 Ga
1.8337 -3.8839 2.0744 Ga
1.8337 2.5256 2.0744 Pt
1.8337 -2.5256 6.2232 Pt
```

Peak list (6 most intense, 10 to 90 degrees two-theta, by angle)
2θ (°)	d [Å]	Rel. int.
19.7	4.496	53
28.4	3.143	68
34.1	2.628	91
40.4	2.235	100
42.1	2.145	76
44.7	2.025	44